No. 1
Computed X-ray diffraction stick pattern of LiMnSnO4 for Cu Kα, from a cell relaxed with GGA+U.

Crystal structure
```
data_LiMnSnO4
_cell_length_a 5.913
_cell_length_b 6.230
_cell_length_c 9.152
_cell_angle_alpha 90.00
_cell_angle_beta 90.00
_cell_angle_gamma 90.00
_symmetry_space_group_name_H-M 'I m m a'
_symmetry_Int_Tables_number 74
_symmetry_space_group_name_Hall '-I 2b 2'
loop_
_atom_site_label
_atom_site_fract_x
_atom_site_fract_y
_atom_site_fract_z
_atom_site_occupancy
Li1 0.000 0.250 0.131 1
Mn1 0.250 0.250 0.750 1
Sn1 0.000 0.000 0.500 1
O1 0.000 0.037 0.734 1
O2 0.234 0.250 0.501 1
```

Top 6 peaks for 10° ≤ 2θ ≤ 90°, by angle:
d_spacing	2θ/deg	I/Imax	index
5.150	17.2	28	0 1 1
4.967	17.9	100	1 0 1
2.639	34.0	41	1 2 1
2.288	39.4	24	0 0 4
2.144	42.1	39	2 2 0
1.565	59.0	29	2 2 4

No. 2
Computed X-ray diffraction stick pattern of Li5Fe8B8O24 for Cu Kα, from a cell relaxed with GGA+U.

Crystal structure
```
data_Li5Fe8B8O24
_cell_length_a 5.211
_cell_length_b 5.256
_cell_length_c 20.269
_cell_angle_alpha 90.85
_cell_angle_beta 90.11
_cell_angle_gamma 119.60
_symmetry_space_group_name_H-M 'P 1'
_symmetry_Int_Tables_number 1
loop_
_symmetry_equiv_pos_as_xyz
'x,y,z'
loop_
_atom_site_label
_atom_site_fract_x
_atom_site_fract_y
_atom_site_fract_z
_atom_site_occupancy
Li1 0.000 0.000 0.000 1
Li2 0.001 0.999 0.502 1
Li3 0.660 0.693 0.125 1
Li4 0.667 0.698 0.629 1
Li5 0.975 0.024 0.255 1
Fe1 0.006 0.354 0.612 1
Fe2 0.006 0.356 0.111 1
Fe3 0.322 0.020 0.861 1
Fe4 0.335 0.021 0.362 1
Fe5 0.336 0.669 0.484 1
Fe6 0.336 0.669 0.982 1
Fe7 0.641 0.355 0.237 1
Fe8 0.651 0.347 0.738 1
B1 0.322 0.686 0.236 1
B2 0.325 0.688 0.736 1
B3 0.330 0.014 0.611 1
B4 0.330 0.018 0.109 1
B5 0.669 0.348 0.484 1
B6 0.670 0.348 0.984 1
B7 0.989 0.352 0.858 1
B8 0.995 0.356 0.359 1
O1 0.013 0.107 0.858 1
O2 0.027 0.113 0.351 1
O3 0.053 0.454 0.717 1
O4 0.059 0.004 0.103 1
O5 0.064 0.007 0.602 1
O6 0.069 0.422 0.221 1
O7 0.221 0.621 0.878 1
O8 0.228 0.621 0.380 1
O9 0.299 0.928 0.258 1
O10 0.337 0.948 0.757 1
O11 0.351 0.770 0.093 1
O12 0.355 0.770 0.594 1
O13 0.403 0.094 0.464 1
O14 0.407 0.094 0.962 1
O15 0.576 0.666 0.729 1
O16 0.579 0.269 0.635 1
O17 0.579 0.275 0.131 1
O18 0.598 0.712 0.227 1
O19 0.681 0.611 0.986 1
O20 0.682 0.613 0.487 1
O21 0.722 0.340 0.838 1
O22 0.725 0.335 0.343 1
O23 0.912 0.321 0.503 1
O24 0.914 0.322 0.002 1
```

Top 6 peaks for 10° ≤ 2θ ≤ 90°, by angle:
d_spacing	2θ/deg	I/Imax	index
4.525	19.6	78	1 -1 0
4.139	21.5	67	0 1 2
4.119	21.6	70	1 0 2
3.361	26.5	44	0 1 4
2.630	34.1	63	1 -2 0
2.533	35.4	100	0 0 8

No. 3
Computed X-ray diffraction stick pattern of CaNdHfFeO6 for Cu Kα, from a cell relaxed with GGA+U.

Crystal structure
```
data_CaNdHfFeO6
_cell_length_a 8.022
_cell_length_b 8.022
_cell_length_c 8.022
_cell_angle_alpha 90.00
_cell_angle_beta 90.00
_cell_angle_gamma 90.00
_symmetry_space_group_name_H-M 'F -4 3 m'
_symmetry_Int_Tables_number 216
_symmetry_space_group_name_Hall 'F -4 2 3'
loop_
_atom_site_label
_atom_site_fract_x
_atom_site_fract_y
_atom_site_fract_z
_atom_site_occupancy
Ca1 0.000 0.000 0.000 1
Nd1 0.000 0.000 0.500 1
Hf1 0.250 0.250 0.750 1
Fe1 0.250 0.250 0.250 1
O1 0.004 0.250 0.250 1
```

Top 6 peaks for 10° ≤ 2θ ≤ 90°, by angle:
d_spacing	2θ/deg	I/Imax	index
4.632	19.2	34	1 1 1
2.836	31.5	100	2 2 0
2.419	37.2	21	3 1 1
2.006	45.2	32	4 0 0
1.638	56.2	39	4 2 2
1.418	65.9	19	4 4 0

No. 4
Computed X-ray diffraction stick pattern of Li5Mn3O8 for Cu Kα, from a cell relaxed with GGA+U.

Crystal structure
```
data_Li5Mn3O8
_cell_length_a 12.570
_cell_length_b 2.946
_cell_length_c 9.862
_cell_angle_alpha 90.00
_cell_angle_beta 128.28
_cell_angle_gamma 90.00
_symmetry_space_group_name_H-M 'C 1 2/m 1'
_symmetry_Int_Tables_number 12
loop_
_symmetry_equiv_pos_as_xyz
'x,y,z'
'-x,-y,-z'
'-x,y,-z'
'x,-y,z'
'x+1/2,y+1/2,z'
'-x+1/2,-y+1/2,-z'
'-x+1/2,y+1/2,-z'
'x+1/2,-y+1/2,z'
loop_
_atom_site_label
_atom_site_fract_x
_atom_site_fract_y
_atom_site_fract_z
_atom_site_occupancy
Li1 0.000 0.000 0.000 1
Li2 0.115 0.500 0.871 1
Li3 0.118 0.000 0.357 1
Mn1 0.000 0.500 0.500 1
Mn2 0.243 0.500 0.241 1
O1 0.067 0.000 0.686 1
O2 0.079 0.500 0.198 1
O3 0.187 0.500 0.583 1
O4 0.197 0.000 0.086 1
```

Top 6 peaks for 10° ≤ 2θ ≤ 90°, by angle:
d_spacing	2θ/deg	I/Imax	index
7.742	11.4	20	0 0 1
4.825	18.4	100	2 0 -2
2.513	35.7	26	1 1 1
2.099	43.1	67	1 1 -3
2.033	44.6	30	6 0 -2
1.462	63.7	16	7 1 -5

No. 5
Computed X-ray diffraction stick pattern of LiNi2O4 for Cu Kα, from a cell relaxed with GGA+U.

Crystal structure
```
data_LiNi2O4
_cell_length_a 2.846
_cell_length_b 4.916
_cell_length_c 5.135
_cell_angle_alpha 108.65
_cell_angle_beta 90.20
_cell_angle_gamma 92.22
_symmetry_space_group_name_H-M 'P -1'
_symmetry_Int_Tables_number 2
loop_
_symmetry_equiv_pos_as_xyz
'x,y,z'
'-x,-y,-z'
loop_
_atom_site_label
_atom_site_fract_x
_atom_site_fract_y
_atom_site_fract_z
_atom_site_occupancy
Li1 0.000 0.000 0.000 1
Ni1 0.000 0.500 0.500 1
Ni2 0.500 0.000 0.500 1
O1 0.016 0.222 0.700 1
O2 0.467 0.756 0.714 1
```

Top 6 peaks for 10° ≤ 2θ ≤ 90°, by angle:
d_spacing	2θ/deg	I/Imax	index
4.865	18.2	100	0 0 1
2.473	36.3	13	1 -1 0
2.423	37.1	11	0 2 -1
2.078	43.6	18	-1 1 1
2.039	44.4	17	0 2 -2
2.004	45.3	16	1 1 1